Simulated XRD peak list of LaCe2Mn3O9 for a wavelength of 1.5418 Å, from the PBE+U geometry in Alexandria.
No peak broadening, texture or thermal motion is included.

Structural model:
```
data_LaCe2Mn3O9
_space_group_name_H-M_alt 'C m m m'
_space_group_IT_number 65
_space_group_name_Hall '-C 2 2'
_cell_length_a 5.5499
_cell_length_b 16.6220
_cell_length_c 3.9568
_cell_angle_alpha 90.00
_cell_angle_beta 90.00
_cell_angle_gamma 90.00
loop_
_atom_site_label
_atom_site_fract_x
_atom_site_fract_y
_atom_site_fract_z
_atom_site_occupancy
La1 0.0000 0.0000 0.0000 1
Ce1 0.0000 0.3308 0.0000 1
Mn1 0.0000 0.1668 0.5000 1
Mn2 0.0000 0.5000 0.5000 1
O1 0.0000 0.1710 0.0000 1
O2 0.0000 0.5000 0.0000 1
O3 0.2503 0.0840 0.5000 1
O4 0.2500 0.2500 0.5000 1
```

Principal peaks in the range 10° ≤ 2θ ≤ 90°, low angle first:
hkl 1 3 0, 22.68°, I 15
hkl 1 3 1, 32.14°, I 100
hkl 2 0 0, 32.29°, I 49
hkl 2 0 1, 39.69°, I 30
hkl 0 0 2, 45.87°, I 17
hkl 2 6 0, 46.31°, I 32
hkl 2 0 2, 57.20°, I 19
hkl 3 3 1, 57.48°, I 38
hkl 2 6 2, 67.23°, I 19
hkl 4 6 0, 76.82°, I 12